ZnMoBr2: theoretical X-ray diffraction stick pattern (Cu Ka), based on a crystal structure in Alexandria, relaxed with PBE.

Main lines, by angle (2θ = 10–90°):
- 11.14 deg, I 100
- 24.99 deg, I 36
- 28.54 deg, I 17
- 33.87 deg, I 15
- 34.73 deg, I 25
- 36.52 deg, I 64
- 39.96 deg, I 16
- 40.06 deg, I 15
- 43.31 deg, I 34
- 49.89 deg, I 16

Atomic structure:
Cell lengths 3.656, 3.402, 8.139 Å; angles 90.00, 102.71, 90.00 degrees
Positions (direct):
Zn 0.000 0.000 0.000
Mo 0.555 0.500 0.112
Br 0.394 0.500 0.786
Br 0.671 0.000 0.351

LiSi3Ir3: theoretical X-ray diffraction stick pattern (Cu Ka), based on a crystal structure in Alexandria, relaxed with PBE.

Main lines, by angle (2θ = 10–90°):
- 19.12 deg, I 70
- 30.45 deg, I 100
- 33.44 deg, I 38
- 43.60 deg, I 17
- 48.01 deg, I 39
- 50.11 deg, I 26
- 52.14 deg, I 22
- 56.04 deg, I 19
- 65.13 deg, I 24
- 78.47 deg, I 21

Atomic structure:
Cell lengths 6.564, 6.564, 6.564 Å; angles 90.00, 90.00, 90.00 degrees
Positions (direct):
Li 0.000 0.000 0.000
Li 0.500 0.500 0.500
Si 0.000 0.250 0.500
Si 0.000 0.750 0.500
Si 0.250 0.500 0.000
Si 0.500 0.000 0.250
Si 0.500 0.000 0.750
Si 0.750 0.500 0.000
Ir 0.000 0.500 0.250
Ir 0.000 0.500 0.750
Ir 0.250 0.000 0.500
Ir 0.500 0.250 0.000
Ir 0.500 0.750 0.000
Ir 0.750 0.000 0.500

Cs2BaTmCl6: theoretical X-ray diffraction stick pattern (Cu Ka), based on a crystal structure in Alexandria, relaxed with PBE.

Main lines, by angle (2θ = 10–90°):
- 15.57 deg, I 11
- 20.89 deg, I 27
- 22.09 deg, I 100
- 23.23 deg, I 24
- 31.44 deg, I 74
- 37.34 deg, I 19
- 39.44 deg, I 10
- 40.14 deg, I 21
- 45.05 deg, I 31
- 50.72 deg, I 18

Atomic structure:
Cell lengths 7.659, 11.386, 8.503 Å; angles 90.00, 90.00, 90.00 degrees
Positions (direct):
Cs 0.250 0.019 0.216
Cs 0.250 0.481 0.216
Cs 0.750 0.519 0.784
Cs 0.750 0.981 0.784
Ba 0.250 0.250 0.724
Ba 0.750 0.750 0.276
Tm 0.250 0.750 0.772
Tm 0.750 0.250 0.228
Cl 0.007 0.750 0.554
Cl 0.013 0.750 0.999
Cl 0.250 0.518 0.773
Cl 0.250 0.982 0.773
Cl 0.487 0.750 0.999
Cl 0.493 0.750 0.554
Cl 0.507 0.250 0.446
Cl 0.513 0.250 0.001
Cl 0.750 0.018 0.227
Cl 0.750 0.482 0.227
Cl 0.987 0.250 0.001
Cl 0.993 0.250 0.446

LaYEr3: theoretical X-ray diffraction stick pattern (Cu Ka), based on a crystal structure in Alexandria, relaxed with PBE.

Main lines, by angle (2θ = 10–90°):
- 30.67 deg, I 87
- 31.21 deg, I 100
- 32.86 deg, I 44
- 33.15 deg, I 37
- 47.37 deg, I 27
- 53.60 deg, I 17
- 57.31 deg, I 15
- 57.64 deg, I 18
- 58.33 deg, I 15
- 61.78 deg, I 14

Atomic structure:
Cell lengths 8.853, 8.853, 7.047 Å; angles 90.07, 90.07, 35.86 degrees
Positions (direct):
La 0.199 0.199 0.248
La 0.801 0.801 0.752
Y 0.395 0.395 0.497
Y 0.605 0.605 0.503
Er 0.002 0.002 0.751
Er 0.198 0.198 0.750
Er 0.395 0.395 0.004
Er 0.605 0.605 0.996
Er 0.802 0.802 0.250
Er 0.998 0.998 0.249

YNp4S7: theoretical X-ray diffraction stick pattern (Cu Ka), based on a crystal structure in Alexandria, relaxed with PBE.

Main lines, by angle (2θ = 10–90°):
- 24.00 deg, I 100
- 24.64 deg, I 84
- 24.85 deg, I 32
- 26.02 deg, I 32
- 27.59 deg, I 47
- 28.02 deg, I 38
- 32.93 deg, I 52
- 33.98 deg, I 51
- 42.20 deg, I 37
- 47.43 deg, I 39

Atomic structure:
Cell lengths 6.751, 6.751, 11.475 Å; angles 104.13, 104.13, 33.24 degrees
Positions (direct):
Y 0.000 0.000 0.000
Np 0.117 0.117 0.428
Np 0.231 0.231 0.845
Np 0.417 0.417 0.609
Np 0.816 0.816 0.235
S 0.072 0.072 0.641
S 0.157 0.157 0.208
S 0.380 0.380 0.074
S 0.461 0.461 0.372
S 0.617 0.617 0.926
S 0.773 0.773 0.475
S 0.851 0.851 0.772